Record 1
Simulated powder diffraction line list
Compound: Na2TlGeSe4
Radiation: copper Kα
Structure: a cell relaxed with PBE

Most intense lines, 2θ from 10° to 90°, sorted by position:
Position (°2θ), intensity
15.91, 1000
28.07, 864
29.08, 635
32.13, 425
33.31, 519
43.88, 668

Cell and atoms:
Lattice parameters (Å, degrees): 6.6776 6.6776 6.6776 107.69 107.69 113.10
Fractional coordinates of all 8 atoms:
Na 0.2500 0.7500 0.5000
Na 0.7500 0.2500 0.5000
Tl 0.0000 0.0000 0.0000
Ge 0.5000 0.5000 0.0000
Se 0.1366 0.1366 0.6473
Se 0.4893 0.4893 0.3527
Se 0.5107 0.8634 0.0000
Se 0.8634 0.5107 0.0000

***

Record 2
Simulated powder diffraction line list
Compound: LaHo3H8
Radiation: copper Kα
Structure: a cell relaxed with PBE

Most intense lines, 2θ from 10° to 90°, sorted by position:
Position (°2θ), intensity
29.39, 1000
34.06, 490
48.94, 378
58.12, 441
79.34, 179
81.83, 165

Cell and atoms:
Lattice parameters (Å, degrees): 5.2640 5.2640 5.2640 90.00 90.00 90.00
Fractional coordinates of all 12 atoms:
La 0.0000 0.0000 0.0000
Ho 0.0000 0.5000 0.5000
Ho 0.5000 0.0000 0.5000
Ho 0.5000 0.5000 0.0000
H 0.2622 0.2622 0.2622
H 0.2622 0.2622 0.7378
H 0.2622 0.7378 0.2622
H 0.2622 0.7378 0.7378
H 0.7378 0.2622 0.2622
H 0.7378 0.2622 0.7378
H 0.7378 0.7378 0.2622
H 0.7378 0.7378 0.7378

***

Record 3
Simulated powder diffraction line list
Compound: AcDy3
Radiation: copper Kα
Structure: a cell relaxed with PBE

Most intense lines, 2θ from 10° to 90°, sorted by position:
Position (°2θ), intensity
27.71, 223
30.48, 362
31.71, 1000
32.13, 456
54.94, 215
59.35, 222

Cell and atoms:
Lattice parameters (Å, degrees): 3.7384 5.8662 6.3307 90.00 90.00 90.00
Fractional coordinates of all 4 atoms:
Ac 0.0000 0.0000 0.0000
Dy 0.0000 0.5000 0.6557
Dy 0.5000 0.0000 0.4972
Dy 0.5000 0.5000 0.1649

***

Record 4
Simulated powder diffraction line list
Compound: EuCu4Sn2
Radiation: copper Kα
Structure: a cell relaxed with PBE

Most intense lines, 2θ from 10° to 90°, sorted by position:
Position (°2θ), intensity
27.44, 270
31.62, 421
34.89, 1000
42.45, 948
47.48, 178
72.16, 247

Cell and atoms:
Lattice parameters (Å, degrees): 6.9703 6.9703 6.9703 108.64 108.64 111.14
Fractional coordinates of all 14 atoms:
Eu 0.2500 0.2500 0.0000
Eu 0.7500 0.7500 0.0000
Cu 0.0264 0.5264 0.2286
Cu 0.2022 0.9736 0.5000
Cu 0.2978 0.7978 0.7714
Cu 0.4736 0.7022 0.5000
Cu 0.5264 0.2978 0.5000
Cu 0.7022 0.2022 0.2286
Cu 0.7978 0.0264 0.5000
Cu 0.9736 0.4736 0.7714
Sn 0.1625 0.3375 0.5000
Sn 0.3375 0.8375 0.1751
Sn 0.6625 0.1625 0.8249
Sn 0.8375 0.6625 0.5000